Entry 1:
Simulated powder diffraction line list of Rb4LaPu3O12 for Cu Kα (λ = 1.5418 Å), from the GGA-PBE geometry in Alexandria.
Neutral-atom scattering factors, no anomalous dispersion.

Atomic structure:
Unit cell a=7.5813 b=7.5813 c=7.5813 alpha=109.47 beta=109.47 gamma=109.47
Positions (direct):
Rb 0.0000 0.0000 0.5000
Rb 0.0000 0.5000 0.0000
Rb 0.5000 0.0000 0.0000
Rb 0.5000 0.5000 0.5000
La 0.0000 0.0000 0.0000
Pu 0.0000 0.5000 0.5000
Pu 0.5000 0.0000 0.5000
Pu 0.5000 0.5000 0.0000
O 0.0000 0.2727 0.2727
O 0.0000 0.7273 0.7273
O 0.2500 0.5000 0.7500
O 0.2500 0.7500 0.5000
O 0.2727 0.0000 0.2727
O 0.2727 0.2727 0.0000
O 0.5000 0.2500 0.7500
O 0.5000 0.7500 0.2500
O 0.7273 0.0000 0.7273
O 0.7273 0.7273 0.0000
O 0.7500 0.2500 0.5000
O 0.7500 0.5000 0.2500

Largest 8 diffraction maxima, by angle, 10° ≤ 2θ ≤ 90°:
2theta, intensity
20.29, 29
28.85, 100
41.25, 29
46.39, 14
51.12, 42
59.76, 19
67.69, 19
82.45, 22

Entry 2:
Simulated powder diffraction line list of LaPuSO2 for Cu Kα (λ = 1.5418 Å), from the GGA-PBE geometry in Alexandria.
Neutral-atom scattering factors, no anomalous dispersion.

Atomic structure:
Unit cell a=6.7620 b=6.7620 c=6.7620 alpha=146.63 beta=146.63 gamma=47.91
Positions (direct):
La 0.0000 0.0000 0.0000
Pu 0.7073 0.7073 0.0000
S 0.3533 0.3533 0.0000
O 0.1086 0.6086 0.5000
O 0.6086 0.1086 0.5000

Largest 8 diffraction maxima, by angle, 10° ≤ 2θ ≤ 90°:
2theta, intensity
14.33, 21
24.02, 58
31.67, 100
32.61, 44
44.13, 29
46.79, 22
55.79, 16
57.60, 37

Entry 3:
Simulated powder diffraction line list of LaPuSbO2 for Cu Kα (λ = 1.5418 Å), from the GGA-PBE geometry in Alexandria.
Neutral-atom scattering factors, no anomalous dispersion.

Atomic structure:
Unit cell a=7.2384 b=7.2384 c=7.2384 alpha=148.14 beta=148.14 gamma=45.68
Positions (direct):
La 0.0000 0.0000 0.0000
Pu 0.3150 0.3150 0.0000
Sb 0.6646 0.6646 0.0000
O 0.4017 0.9017 0.5000
O 0.9017 0.4017 0.5000

Largest 8 diffraction maxima, by angle, 10° ≤ 2θ ≤ 90°:
2theta, intensity
13.27, 10
30.16, 100
31.85, 39
45.66, 19
52.48, 22
55.70, 36
62.71, 10
89.61, 10

Entry 4:
Simulated powder diffraction line list of LaPuSe2O for Cu Kα (λ = 1.5418 Å), from the GGA-PBE geometry in Alexandria.
Neutral-atom scattering factors, no anomalous dispersion.

Atomic structure:
Unit cell a=4.0946 b=4.0946 c=14.8597 alpha=90.00 beta=90.00 gamma=90.00
Positions (direct):
La 0.2500 0.2500 0.1306
La 0.7500 0.7500 0.8694
Pu 0.2500 0.2500 0.5752
Pu 0.7500 0.7500 0.4248
Se 0.2500 0.2500 0.3226
Se 0.2500 0.2500 0.9116
Se 0.7500 0.7500 0.0884
Se 0.7500 0.7500 0.6774
O 0.2500 0.7500 0.5000
O 0.7500 0.2500 0.5000

Largest 8 diffraction maxima, by angle, 10° ≤ 2θ ≤ 90°:
2theta, intensity
24.83, 47
28.28, 55
30.88, 100
32.54, 31
37.39, 58
39.46, 34
44.24, 42
59.27, 31

Entry 5:
Simulated powder diffraction line list of LaPuSeO2 for Cu Kα (λ = 1.5418 Å), from the GGA-PBE geometry in Alexandria.
Neutral-atom scattering factors, no anomalous dispersion.

Atomic structure:
Unit cell a=6.8868 b=6.8868 c=6.8868 alpha=146.70 beta=146.70 gamma=47.80
Positions (direct):
La 0.0000 0.0000 0.0000
Pu 0.3011 0.3011 0.0000
Se 0.6528 0.6528 0.0000
O 0.3962 0.8962 0.5000
O 0.8962 0.3962 0.5000

Largest 8 diffraction maxima, by angle, 10° ≤ 2θ ≤ 90°:
2theta, intensity
14.07, 12
23.63, 25
31.11, 100
32.08, 42
43.33, 14
46.00, 21
54.73, 19
56.57, 37

Entry 6:
Simulated powder diffraction line list of La2YPuO8 for Cu Kα (λ = 1.5418 Å), from the GGA-PBE geometry in Alexandria.
Neutral-atom scattering factors, no anomalous dispersion.

Atomic structure:
Unit cell a=4.1456 b=7.5196 c=5.6262 alpha=90.00 beta=96.76 gamma=90.00
Positions (direct):
La 0.0000 0.2439 0.0000
La 0.0000 0.7561 0.0000
Y 0.5000 0.0000 0.5000
Pu 0.5000 0.5000 0.5000
O 0.0326 0.0000 0.2528
O 0.0863 0.5000 0.2919
O 0.4462 0.2798 0.7254
O 0.4462 0.7202 0.7254
O 0.5538 0.2798 0.2746
O 0.5538 0.7202 0.2746
O 0.9137 0.5000 0.7081
O 0.9674 0.0000 0.7472

Largest 8 diffraction maxima, by angle, 10° ≤ 2θ ≤ 90°:
2theta, intensity
25.32, 69
28.40, 51
28.62, 100
32.04, 23
32.24, 46
44.13, 44
48.00, 32
55.03, 33